Entry 1:
Th3Zn7Ag2: simulated powder diffraction line list (CuKα), based on a structure optimized by DFT (PBE).

Principal peaks in the range 5 to 70 degrees two-theta, in order of rising 2θ:
- 19.83°, I = 14
- 29.80°, I = 34
- 32.30°, I = 56
- 32.54°, I = 22
- 37.62°, I = 26
- 38.19°, I = 100
- 40.29°, I = 13
- 56.06°, I = 13
- 57.59°, I = 11
- 61.53°, I = 25
- 61.90°, I = 11
- 67.59°, I = 19

Cell and atoms:
```
Th3Zn7Ag2
1.0
2.7720 1.6004 8.9545
-2.7720 1.6004 8.9545
0.0000 -3.2008 8.9545
Th Zn Ag
3 7 2
Cartesian
0.0000 0.0000 0.0000
0.0000 0.0000 3.9042
0.0000 0.0000 22.9595
-1.4166 -0.8179 11.1831
0.0000 -1.6357 15.6805
-1.4166 0.8179 15.6805
0.0000 0.0000 13.4318
1.4166 -0.8179 11.1831
0.0000 1.6357 11.1831
1.4166 0.8179 15.6805
0.0000 0.0000 9.0174
0.0000 0.0000 17.8462
```

=====

Entry 2:
Eu2BrO2: simulated powder diffraction line list (CuKα), based on a structure optimized by DFT (PBE).

Principal peaks in the range 5 to 70 degrees two-theta, in order of rising 2θ:
- 27.68°, I = 51
- 27.95°, I = 15
- 29.04°, I = 100
- 32.92°, I = 17
- 33.36°, I = 48
- 34.01°, I = 17
- 37.56°, I = 14
- 45.21°, I = 20
- 46.80°, I = 27
- 53.83°, I = 16
- 57.04°, I = 24
- 57.21°, I = 14

Cell and atoms:
```
Eu2BrO2
1.0
6.5046 -2.0057 0.0000
6.5046 2.0057 0.0000
-5.4044 0.0000 8.1626
Eu Br O
4 2 4
Cartesian
-0.9841 0.0000 2.4567
-0.6987 0.0000 7.7421
8.3035 0.0000 0.4205
8.5889 0.0000 5.7059
2.2322 0.0000 3.1056
5.3726 0.0000 5.0570
-3.0918 0.0000 7.5326
1.4232 0.0000 6.6570
6.1816 0.0000 1.5056
10.6966 0.0000 0.6300
```

=====

Entry 3:
Na3Ac2InS6: simulated powder diffraction line list (CuKα), based on a structure optimized by DFT (PBE).

Principal peaks in the range 5 to 70 degrees two-theta, in order of rising 2θ:
- 13.05°, I = 100
- 24.92°, I = 62
- 26.07°, I = 47
- 26.27°, I = 15
- 30.21°, I = 77
- 30.33°, I = 38
- 33.07°, I = 27
- 39.67°, I = 15
- 43.18°, I = 42
- 43.48°, I = 27
- 45.26°, I = 19
- 53.62°, I = 21

Cell and atoms:
```
Na3Ac2InS6
1.0
3.6269 -6.2901 0.0000
3.6269 6.2901 0.0000
-2.3883 0.0000 6.7837
Na Ac In S
3 2 1 6
Cartesian
0.0000 0.0000 0.0000
3.6269 1.9786 0.0000
3.6269 -1.9786 0.0000
2.4327 4.1769 3.3918
2.4327 -4.1769 3.3918
2.4327 0.0000 3.3918
1.3103 1.9384 1.7789
0.2107 0.0000 4.9436
1.3103 -1.9384 1.7789
3.5552 1.9384 5.0048
4.6547 0.0000 1.8401
3.5552 -1.9384 5.0048
```

=====

> What is the formula in the first record?

Th3Zn7Ag2

=====

Repeat the second record exactly.
Eu2BrO2: simulated powder diffraction line list (CuKα), based on a structure optimized by DFT (PBE).

Principal peaks in the range 5 to 70 degrees two-theta, in order of rising 2θ:
- 27.68°, I = 51
- 27.95°, I = 15
- 29.04°, I = 100
- 32.92°, I = 17
- 33.36°, I = 48
- 34.01°, I = 17
- 37.56°, I = 14
- 45.21°, I = 20
- 46.80°, I = 27
- 53.83°, I = 16
- 57.04°, I = 24
- 57.21°, I = 14

Cell and atoms:
```
Eu2BrO2
1.0
6.5046 -2.0057 0.0000
6.5046 2.0057 0.0000
-5.4044 0.0000 8.1626
Eu Br O
4 2 4
Cartesian
-0.9841 0.0000 2.4567
-0.6987 0.0000 7.7421
8.3035 0.0000 0.4205
8.5889 0.0000 5.7059
2.2322 0.0000 3.1056
5.3726 0.0000 5.0570
-3.0918 0.0000 7.5326
1.4232 0.0000 6.6570
6.1816 0.0000 1.5056
10.6966 0.0000 0.6300
```

=====

> Which formula does entry 2 have?

Eu2BrO2